[1]
Structure and calculated XRD peak list of Nd4Fe29Si5 (a DFT-relaxed cell (GGA-PBE, the Materials Project); Cu Kα (λ = 1.5418 Å)).

Top 10 peaks for 15 to 90 degrees two-theta, sorted by position:
| 2theta | d_spacing | I/Imax |
| --- | --- | --- |
| 30.0 | 2.977 | 355 |
| 30.2 | 2.964 | 213 |
| 37.0 | 2.431 | 295 |
| 37.7 | 2.384 | 249 |
| 42.7 | 2.118 | 1000 |
| 43.0 | 2.103 | 676 |
| 43.1 | 2.099 | 467 |
| 43.2 | 2.092 | 524 |
| 48.1 | 1.891 | 143 |
| 62.3 | 1.490 | 165 |

Unit cell a=6.418 b=6.456 c=12.810 alpha=82.38 beta=81.79 gamma=82.37
Fractional coordinates of all 38 atoms:
1 Nd 0.152 0.156 0.327
2 Nd 0.155 0.153 0.827
3 Nd 0.845 0.847 0.173
4 Nd 0.848 0.844 0.673
5 Fe 0.000 0.500 0.000
6 Fe 0.000 0.500 0.500
7 Fe 0.160 0.660 0.330
8 Fe 0.161 0.654 0.830
9 Fe 0.162 0.162 0.077
10 Fe 0.164 0.166 0.575
11 Fe 0.213 0.786 0.000
12 Fe 0.213 0.792 0.500
13 Fe 0.214 0.500 0.143
14 Fe 0.217 0.500 0.642
15 Fe 0.346 0.838 0.169
16 Fe 0.349 0.835 0.668
17 Fe 0.499 0.499 0.250
18 Fe 0.500 0.000 0.000
19 Fe 0.500 0.209 0.644
20 Fe 0.500 0.213 0.144
21 Fe 0.500 0.787 0.856
22 Fe 0.500 0.791 0.356
23 Fe 0.501 0.501 0.750
24 Fe 0.651 0.165 0.332
25 Fe 0.654 0.162 0.831
26 Fe 0.783 0.500 0.358
27 Fe 0.786 0.500 0.857
28 Fe 0.787 0.208 0.500
29 Fe 0.787 0.214 0.000
30 Fe 0.836 0.834 0.425
31 Fe 0.838 0.838 0.923
32 Fe 0.839 0.346 0.170
33 Fe 0.840 0.340 0.670
34 Si 0.391 0.419 0.446
35 Si 0.399 0.399 0.949
36 Si 0.500 0.000 0.500
37 Si 0.601 0.601 0.051
38 Si 0.609 0.581 0.554


[2]
Structure and calculated XRD peak list of TmAl3B4O12 (a DFT-relaxed cell (GGA-PBE, the Materials Project); Cu Kα (λ = 1.5418 Å)).

Top 10 peaks for 15 to 90 degrees two-theta, sorted by position:
| 2theta | d_spacing | I/Imax |
| --- | --- | --- |
| 16.4 | 5.409 | 1000 |
| 19.0 | 4.670 | 634 |
| 25.2 | 3.535 | 691 |
| 26.9 | 3.318 | 330 |
| 31.7 | 2.818 | 480 |
| 33.1 | 2.705 | 961 |
| 38.5 | 2.339 | 699 |
| 42.2 | 2.144 | 395 |
| 51.8 | 1.766 | 313 |
| 54.6 | 1.682 | 300 |

Unit cell a=5.913 b=5.913 c=5.913 alpha=104.34 beta=104.34 gamma=104.34
Fractional coordinates of all 20 atoms:
1 Tm 0.000 0.000 0.000
2 Al 0.000 0.555 0.445
3 Al 0.445 0.000 0.555
4 Al 0.555 0.445 0.000
5 B 0.056 0.500 0.944
6 B 0.500 0.500 0.500
7 B 0.500 0.944 0.056
8 B 0.944 0.056 0.500
9 O 0.029 0.631 0.782
10 O 0.092 0.908 0.500
11 O 0.218 0.369 0.971
12 O 0.351 0.649 0.500
13 O 0.369 0.971 0.218
14 O 0.500 0.092 0.908
15 O 0.500 0.351 0.649
16 O 0.631 0.782 0.029
17 O 0.649 0.500 0.351
18 O 0.782 0.029 0.631
19 O 0.908 0.500 0.092
20 O 0.971 0.218 0.369


[3]
Structure and calculated XRD peak list of Cu3Sb (a DFT-relaxed cell (GGA-PBE, the Materials Project); Cu Kα (λ = 1.5418 Å)).

Top 10 peaks for 15 to 90 degrees two-theta, sorted by position:
| 2theta | d_spacing | I/Imax |
| --- | --- | --- |
| 22.8 | 3.897 | 81 |
| 32.5 | 2.756 | 65 |
| 40.1 | 2.250 | 1000 |
| 46.6 | 1.949 | 478 |
| 52.5 | 1.743 | 35 |
| 58.0 | 1.591 | 26 |
| 68.0 | 1.378 | 288 |
| 72.8 | 1.299 | 18 |
| 82.0 | 1.175 | 335 |
| 86.5 | 1.125 | 98 |

Unit cell a=3.897 b=3.897 c=3.897 alpha=90.00 beta=90.00 gamma=90.00
Fractional coordinates of all 4 atoms:
1 Cu 0.000 0.000 0.500
2 Cu 0.000 0.500 0.000
3 Cu 0.500 0.000 0.000
4 Sb 0.500 0.500 0.500